# 1
Simulated PXRD pattern
Compound: AcLaH8Rh2
Radiation: Cu Kα
Structure: DFT lattice parameters and positions (PBE)
No peak broadening, texture or thermal motion is included.

Structural model:
```
data_AcLaH8Rh2
_chemical_formula_sum 'Ac3 La3 H24 Rh6'
_symmetry_space_group_name_H-M 'R -3 m'
_symmetry_Int_Tables_number 166
_symmetry_space_group_name_Hall '-R 3 2"'
_cell_length_a 5.0032
_cell_length_b 5.0032
_cell_length_c 19.2070
_cell_angle_alpha 90.00
_cell_angle_beta 90.00
_cell_angle_gamma 120.00
loop_
_atom_site_label
_atom_site_type_symbol
_atom_site_fract_x
_atom_site_fract_y
_atom_site_fract_z
Ac1 Ac 0.0000 0.0000 0.0000
La1 La 0.0000 0.0000 0.5000
H1 H 0.0000 0.0000 0.3182
H2 H 0.0523 0.5261 0.5539
Rh1 Rh 0.0000 0.0000 0.2336
```

Peak list (12 most intense, 10° ≤ 2θ ≤ 80°, most intense first)
- 27.7 deg, intensity 100, hkl 1 0 4
- 35.9 deg, intensity 55, hkl 1 1 0
- 46.0 deg, intensity 32, hkl 0 2 4
- 43.1 deg, intensity 26, hkl 0 1 8
- 59.7 deg, intensity 24, hkl 2 1 4
- 69.5 deg, intensity 12, hkl 1 2 8
- 22.5 deg, intensity 11, hkl 0 1 2
- 57.3 deg, intensity 11, hkl 2 0 8
- 64.5 deg, intensity 10, hkl 3 0 0
- 69.8 deg, intensity 9, hkl 1 1 12
- 31.1 deg, intensity 8, hkl 0 1 5
- 21.0 deg, intensity 7, hkl 1 0 1



# 2
Simulated PXRD pattern
Compound: Ac4La2Sn3H2
Radiation: Cu Kα
Structure: DFT lattice parameters and positions (PBE)
No peak broadening, texture or thermal motion is included.

Structural model:
```
data_Ac4La2Sn3H2
_chemical_formula_sum 'Ac8 La4 Sn6 H4'
_symmetry_space_group_name_H-M 'I 4/m m m'
_symmetry_Int_Tables_number 139
_symmetry_space_group_name_Hall '-I 4 2'
_cell_length_a 5.1454
_cell_length_b 5.1454
_cell_length_c 26.5367
_cell_angle_alpha 90.00
_cell_angle_beta 90.00
_cell_angle_gamma 90.00
loop_
_atom_site_label
_atom_site_type_symbol
_atom_site_fract_x
_atom_site_fract_y
_atom_site_fract_z
Ac1 Ac 0.0000 0.5000 0.0839
La1 La 0.0000 0.0000 0.2013
Sn1 Sn 0.0000 0.0000 0.3241
Sn2 Sn 0.0000 0.0000 0.5000
H1 H 0.0000 0.0000 0.1048
```

Peak list (12 most intense, 10° ≤ 2θ ≤ 80°, most intense first)
- 31.8 deg, intensity 100, hkl 1 1 6
- 34.9 deg, intensity 54, hkl 2 0 0
- 25.4 deg, intensity 49, hkl 1 1 2
- 60.6 deg, intensity 36, hkl 3 1 6
- 28.0 deg, intensity 29, hkl 1 1 4
- 50.1 deg, intensity 20, hkl 2 2 0
- 49.3 deg, intensity 14, hkl 2 0 10
- 48.2 deg, intensity 12, hkl 1 1 12
- 54.7 deg, intensity 12, hkl 2 0 12
- 44.6 deg, intensity 12, hkl 2 0 8
- 26.9 deg, intensity 11, hkl 0 0 8
- 57.0 deg, intensity 11, hkl 3 1 2